For Tb2Er6Tm3Zr, a cell relaxed with PBE gives the calculated powder XRD pattern in this record (CuKα).
Peak positions follow from Bragg's law for the DFT cell and can differ from measured ones.

Most intense lines, 2θ = 10–80°, low angle first:
- d 2.840, 31.50°, intensity 100
- d 2.460, 36.53°, intensity 50
- d 1.739, 52.63°, intensity 36
- d 1.484, 62.57°, intensity 14
- d 1.483, 62.67°, intensity 28
- d 1.420, 65.76°, intensity 12
- d 1.231, 77.53°, intensity 2
- d 1.229, 77.70°, intensity 4

Cell and atoms:
a = 6.023 Å, b = 6.023 Å, c = 11.529 Å
α = 94.97°, β = 94.97°, γ = 119.91°
Fractional coordinates of all 12 atoms:
Tb1 0.167 0.833 0.000
Tb2 0.833 0.167 0.000
Er1 0.091 0.418 0.753
Er2 0.255 0.255 0.246
Er3 0.418 0.091 0.753
Er4 0.582 0.909 0.247
Er5 0.745 0.745 0.754
Er6 0.909 0.582 0.247
Tm1 0.000 0.000 0.500
Tm2 0.333 0.667 0.500
Tm3 0.667 0.333 0.500
Zr1 0.500 0.500 0.000